Starting from a cell relaxed with GGA-PBE, the powder diffraction line list of LaNd3Tl3 was simulated for Cu Kα (weighted mean of Kα1 and Kα2).
Lines closer than 0.1° are merged.

Crystal structure
Cell: 9.675 9.675 9.675 Å, 90.00 90.00 90.00°
Fractional positions:
La1 0.074 0.426 0.574
La2 0.426 0.574 0.074
La3 0.574 0.074 0.426
La4 0.926 0.926 0.926
Nd1 0.077 0.577 0.923
Nd2 0.177 0.177 0.177
Nd3 0.177 0.823 0.323
Nd4 0.323 0.177 0.823
Nd5 0.323 0.823 0.677
Nd6 0.423 0.423 0.423
Nd7 0.577 0.923 0.077
Nd8 0.677 0.323 0.823
Nd9 0.677 0.677 0.677
Nd10 0.823 0.323 0.177
Nd11 0.823 0.677 0.323
Nd12 0.923 0.077 0.577
Tl1 0.001 0.254 0.879
Tl2 0.121 0.501 0.246
Tl3 0.246 0.121 0.501
Tl4 0.254 0.879 0.001
Tl5 0.379 0.499 0.746
Tl6 0.499 0.746 0.379
Tl7 0.501 0.246 0.121
Tl8 0.621 0.999 0.754
Tl9 0.746 0.379 0.499
Tl10 0.754 0.621 0.999
Tl11 0.879 0.001 0.254
Tl12 0.999 0.754 0.621

Main lines, low angle first (10° ≤ 2θ ≤ 90°):
d (Å), intensity
3.950, 13
3.059, 100
2.586, 68
2.163, 20
2.063, 14
1.975, 13
1.897, 18
1.569, 31
1.493, 15
1.317, 19

***

Starting from a cell relaxed with GGA-PBE, the powder diffraction line list of La5Nd8Tl was simulated for Cu Kα (weighted mean of Kα1 and Kα2).
Lines closer than 0.1° are merged.

Crystal structure
Cell: 9.042 9.042 8.758 Å, 118.74 118.74 57.46°
Fractional positions:
La1 0.000 0.000 0.000
La2 0.296 0.610 0.173
La3 0.390 0.704 0.827
La4 0.578 0.220 0.762
La5 0.780 0.422 0.238
Nd1 0.081 0.534 0.693
Nd2 0.177 0.073 0.565
Nd3 0.282 0.374 0.371
Nd4 0.466 0.919 0.307
Nd5 0.564 0.067 0.060
Nd6 0.626 0.718 0.629
Nd7 0.927 0.823 0.435
Nd8 0.933 0.436 0.940
Tl1 0.723 0.277 0.500

Main lines, low angle first (10° ≤ 2θ ≤ 90°):
d (Å), intensity
3.754, 8
3.085, 11
2.922, 100
2.854, 23
2.831, 15
2.794, 16
2.751, 10
2.378, 6
1.661, 8
1.652, 9

***

Starting from a cell relaxed with GGA-PBE, the powder diffraction line list of La12NdTm5 was simulated for Cu Kα (weighted mean of Kα1 and Kα2).
Lines closer than 0.1° are merged.

Crystal structure
Cell: 10.978 10.978 6.367 Å, 106.57 106.57 59.50°
Fractional positions:
La1 0.004 0.663 0.166
La2 0.162 0.504 0.665
La3 0.168 0.832 0.000
La4 0.328 0.672 0.500
La5 0.337 0.996 0.834
La6 0.496 0.838 0.335
La7 0.504 0.162 0.665
La8 0.663 0.004 0.166
La9 0.672 0.328 0.500
La10 0.832 0.168 0.000
La11 0.838 0.496 0.335
La12 0.996 0.337 0.834
Nd1 0.500 0.500 0.000
Tm1 0.000 0.000 0.500
Tm2 0.167 0.167 0.334
Tm3 0.332 0.332 0.168
Tm4 0.668 0.668 0.832
Tm5 0.833 0.833 0.666

Main lines, low angle first (10° ≤ 2θ ≤ 90°):
d (Å), intensity
2.998, 100
2.980, 98
2.606, 34
2.580, 66
1.833, 60
1.570, 15
1.567, 14
1.561, 29
1.553, 28
1.490, 12

***

Starting from a cell relaxed with GGA-PBE, the powder diffraction line list of LaNd5Tm3 was simulated for Cu Kα (weighted mean of Kα1 and Kα2).
Lines closer than 0.1° are merged.

Crystal structure
Cell: 10.290 10.290 10.290 Å, 130.61 130.61 72.44°
Fractional positions:
La1 0.250 0.750 0.500
La2 0.750 0.250 0.500
Nd1 0.000 0.000 0.000
Nd2 0.057 0.557 0.891
Nd3 0.166 0.057 0.500
Nd4 0.334 0.834 0.891
Nd5 0.443 0.334 0.500
Nd6 0.500 0.500 0.000
Nd7 0.557 0.666 0.500
Nd8 0.666 0.166 0.109
Nd9 0.834 0.943 0.500
Nd10 0.943 0.443 0.109
Tm1 0.124 0.376 0.500
Tm2 0.250 0.250 0.000
Tm3 0.376 0.876 0.252
Tm4 0.624 0.124 0.748
Tm5 0.750 0.750 0.000
Tm6 0.876 0.624 0.500

Main lines, low angle first (10° ≤ 2θ ≤ 90°):
d (Å), intensity
3.158, 86
3.040, 43
2.986, 100
2.719, 26
2.513, 21
2.361, 18
2.075, 18
1.952, 16
1.745, 15
1.714, 13

***

Starting from a cell relaxed with GGA-PBE, the powder diffraction line list of La2Nd2Tm7 was simulated for Cu Kα (weighted mean of Kα1 and Kα2).
Lines closer than 0.1° are merged.

Crystal structure
Cell: 8.060 8.060 6.109 Å, 106.15 106.15 91.84°
Fractional positions:
La1 0.236 0.236 0.084
La2 0.764 0.764 0.916
Nd1 0.219 0.781 0.000
Nd2 0.781 0.219 0.000
Tm1 0.000 0.000 0.500
Tm2 0.069 0.594 0.336
Tm3 0.405 0.405 0.693
Tm4 0.406 0.931 0.664
Tm5 0.594 0.069 0.336
Tm6 0.595 0.595 0.307
Tm7 0.931 0.406 0.664

Main lines, low angle first (10° ≤ 2θ ≤ 90°):
d (Å), intensity
3.474, 18
2.927, 21
2.895, 39
2.801, 100
2.676, 32
2.649, 21
2.012, 14
1.839, 10
1.653, 12
1.643, 9

***

Starting from a cell relaxed with GGA-PBE, the powder diffraction line list of La14NdTm was simulated for Cu Kα (weighted mean of Kα1 and Kα2).
Lines closer than 0.1° are merged.

Crystal structure
Cell: 7.393 7.393 10.525 Å, 90.00 90.00 90.00°
Fractional positions:
La1 0.000 0.000 0.000
La2 0.000 0.500 0.000
La3 0.000 0.500 0.500
La4 0.248 0.248 0.252
La5 0.248 0.248 0.748
La6 0.248 0.752 0.252
La7 0.248 0.752 0.748
La8 0.500 0.000 0.000
La9 0.500 0.000 0.500
La10 0.500 0.500 0.000
La11 0.752 0.248 0.252
La12 0.752 0.248 0.748
La13 0.752 0.752 0.252
La14 0.752 0.752 0.748
Nd1 0.500 0.500 0.500
Tm1 0.000 0.000 0.500

Main lines, low angle first (10° ≤ 2θ ≤ 90°):
d (Å), intensity
3.025, 100
2.631, 17
2.614, 34
1.854, 24
1.848, 12
1.585, 15
1.577, 29
1.512, 12
1.203, 12
1.200, 6

***

Which formula does entry 2 have?
La5Nd8Tl